# 1
Starting from a cell relaxed with PBE, the powder XRD pattern of RbBiPd2 was computed for Cu Kα X-rays.
Lines closer than 0.1° are merged.

```
RbBiPd2
1.0
4.7768 0.0000 0.0000
0.0000 7.5358 0.0000
0.0000 0.0000 6.6140
Rb Bi Pd
2 2 4
direct
0.2500 0.2500 0.1188 Rb
0.7500 0.7500 0.8812 Rb
0.2500 0.7500 0.3715 Bi
0.7500 0.2500 0.6285 Bi
0.2500 0.0620 0.5923 Pd
0.2500 0.4380 0.5923 Pd
0.7500 0.5620 0.4077 Pd
0.7500 0.9380 0.4077 Pd
```

Top 10 peaks for 2θ = 10–80°, by angle:
| 2theta | Rel. int. |
| --- | --- |
| 13.39 | 100 |
| 17.84 | 27 |
| 25.87 | 24 |
| 29.50 | 62 |
| 33.17 | 58 |
| 37.66 | 31 |
| 40.93 | 28 |
| 42.92 | 46 |
| 48.55 | 32 |
| 51.71 | 24 |

=====

# 2
Starting from a cell relaxed with PBE, the powder XRD pattern of Li2Sm5Sn7 was computed for Cu Kα X-rays.
Lines closer than 0.1° are merged.

```
Li2Sm5Sn7
1.0
6.2338 0.0000 0.0000
0.0000 13.6657 0.0000
0.0000 0.0000 17.2578
Li Sm Sn
8 20 28
direct
0.0793 0.2315 0.0195 Li
0.1099 0.2311 0.7276 Li
0.3901 0.7689 0.2276 Li
0.4207 0.7685 0.5195 Li
0.5793 0.2685 0.9805 Li
0.6099 0.2689 0.2724 Li
0.8901 0.7311 0.7724 Li
0.9207 0.7315 0.4805 Li
0.1378 0.1764 0.2179 Sm
0.1427 0.5025 0.4825 Sm
0.1464 0.1807 0.5400 Sm
0.1464 0.5008 0.7637 Sm
0.1508 0.9239 0.3770 Sm
0.3492 0.0761 0.8770 Sm
0.3536 0.4992 0.2637 Sm
0.3536 0.8193 0.0400 Sm
0.3573 0.4975 0.9825 Sm
0.3622 0.8236 0.7179 Sm
0.6378 0.3236 0.7821 Sm
0.6427 0.9975 0.5175 Sm
0.6464 0.3193 0.4600 Sm
0.6464 0.9992 0.2363 Sm
0.6508 0.5761 0.6230 Sm
0.8492 0.4239 0.1230 Sm
0.8536 0.0008 0.7363 Sm
0.8536 0.6807 0.9600 Sm
0.8573 0.0025 0.0175 Sm
0.8622 0.6764 0.2821 Sm
0.0925 0.8795 0.8787 Sn
0.1097 0.6263 0.1211 Sn
0.1392 0.9362 0.5645 Sn
0.1398 0.6514 0.6229 Sn
0.1528 0.9433 0.1891 Sn
0.1789 0.3142 0.3783 Sn
0.2060 0.3093 0.8716 Sn
0.2940 0.6907 0.3716 Sn
0.3211 0.6858 0.8783 Sn
0.3472 0.0567 0.6891 Sn
0.3602 0.3486 0.1229 Sn
0.3608 0.0638 0.0645 Sn
0.3903 0.3737 0.6211 Sn
0.4075 0.1205 0.3787 Sn
0.5925 0.6205 0.1213 Sn
0.6097 0.8737 0.8789 Sn
0.6392 0.5638 0.4355 Sn
0.6398 0.8486 0.3771 Sn
0.6528 0.5567 0.8109 Sn
0.6789 0.1858 0.6217 Sn
0.7060 0.1907 0.1284 Sn
0.7940 0.8093 0.6284 Sn
0.8211 0.8142 0.1217 Sn
0.8472 0.4433 0.3109 Sn
0.8602 0.1514 0.8771 Sn
0.8608 0.4362 0.9355 Sn
0.8903 0.1263 0.3789 Sn
0.9075 0.3795 0.6213 Sn
```

Top 10 peaks for 2θ = 10–80°, by angle:
| 2theta | Rel. int. |
| --- | --- |
| 29.84 | 33 |
| 31.79 | 56 |
| 31.98 | 100 |
| 33.25 | 63 |
| 33.35 | 35 |
| 33.46 | 35 |
| 34.39 | 51 |
| 34.90 | 48 |
| 44.91 | 32 |
| 63.05 | 30 |

=====

# 3
Starting from a cell relaxed with PBE, the powder XRD pattern of DyY2CoNi8 was computed for Cu Kα X-rays.
Lines closer than 0.1° are merged.

```
DyY2CoNi8
1.0
2.4672 1.4244 8.1228
-2.4672 1.4244 8.1228
0.0000 -2.8488 8.1228
Dy Y Co Ni
1 2 1 8
direct
0.0000 0.0000 0.0000 Dy
0.1395 0.1395 0.1395 Y
0.8605 0.8605 0.8605 Y
0.5000 0.5000 0.5000 Co
0.0826 0.5818 0.5818 Ni
0.3330 0.3330 0.3330 Ni
0.4182 0.4182 0.9174 Ni
0.4182 0.9174 0.4182 Ni
0.5818 0.0826 0.5818 Ni
0.5818 0.5818 0.0826 Ni
0.6670 0.6670 0.6670 Ni
0.9174 0.4182 0.4182 Ni
```

Top 10 peaks for 2θ = 10–80°, by angle:
| 2theta | Rel. int. |
| --- | --- |
| 33.19 | 29 |
| 36.22 | 27 |
| 36.42 | 34 |
| 42.47 | 32 |
| 42.90 | 100 |
| 44.62 | 17 |
| 46.40 | 13 |
| 50.03 | 10 |
| 69.99 | 19 |
| 77.36 | 18 |